Structure and calculated powder X-ray diffraction pattern of CdHg13 (the PBE geometry in Alexandria; λ = 1.5418 Å (Cu Kα)).

Atomic structure:
```
28
Lattice="0.000 7.737 7.737 7.737 0.000 7.737 7.737 7.737 0.000" Properties=species:S:1:pos:R:3 pbc="T T T"
Cd 3.869 3.869 3.869
Cd 11.606 11.606 11.606
Hg 0.000 0.000 0.000
Hg 7.737 5.873 2.817
Hg 12.658 7.737 5.873
Hg 9.601 2.817 7.737
Hg 9.601 7.737 4.921
Hg 7.737 4.921 5.873
Hg 10.554 5.873 7.737
Hg 7.737 9.601 2.817
Hg 5.873 2.817 7.737
Hg 12.658 7.737 9.601
Hg 5.873 7.737 4.921
Hg 10.554 9.601 7.737
Hg 7.737 4.921 9.601
Hg 7.737 7.737 7.737
Hg 7.737 10.554 5.873
Hg 4.921 5.873 7.737
Hg 9.601 7.737 10.554
Hg 2.817 7.737 5.873
Hg 9.601 12.658 7.737
Hg 7.737 5.873 12.658
Hg 4.921 9.601 7.737
Hg 7.737 10.554 9.601
Hg 5.873 7.737 10.554
Hg 5.873 12.658 7.737
Hg 2.817 7.737 9.601
Hg 7.737 9.601 12.658
```

Most intense lines, 2θ = 10–90°, low angle first:
2θ (°)	intensity
11.44	22
28.25	46
34.28	100
34.78	42
53.99	20
58.44	11
64.59	17
69.53	11

---

Structure and calculated powder X-ray diffraction pattern of Cd3Hg (the PBE geometry in Alexandria; λ = 1.5418 Å (Cu Kα)).

Atomic structure:
```
8
Lattice="4.512 0.000 0.000 0.000 4.512 0.000 0.000 0.000 9.076" Properties=species:S:1:pos:R:3 pbc="T T T"
Cd 0.000 0.000 0.000
Cd 0.000 2.256 2.269
Cd 0.000 2.256 6.807
Cd 2.256 0.000 2.269
Cd 2.256 0.000 6.807
Cd 2.256 2.256 4.538
Hg 0.000 0.000 4.538
Hg 2.256 2.256 0.000
```

Most intense lines, 2θ = 10–90°, low angle first:
2θ (°)	intensity
34.36	100
39.73	17
39.96	33
57.62	22
57.80	11
68.67	13
69.00	25
72.42	11